Computed powder XRD pattern
Compound: K2AcGa2O6
Radiation: copper Kα
Structure: a structure optimized by DFT (GGA-PBE)

The 10 most intense peaks (10 to 80 degrees two-theta), in order of falling intensity:
(0 0 1), 2θ = 13.66°, intensity 100; (1 1 2), 2θ = 42.40°, intensity 75; (1 1 0), 2θ = 31.60°, intensity 61; (1 0 1), 2θ = 22.74°, intensity 54; (1 1 1), 2θ = 34.57°, intensity 44; (0 0 2), 2θ = 27.53°, intensity 27; (2 -1 4), 2θ = 66.49°, intensity 25; (2 -1 3), 2θ = 53.35°, intensity 19; (3 0 0), 2θ = 56.28°, intensity 18; (2 0 1), 2θ = 39.29°, intensity 18

Cell and atoms:
```
11
Lattice="5.663 0.000 0.000 -2.831 4.904 0.000 0.000 0.000 6.480" Properties=species:S:1:pos:R:3 pbc="T T T"
K 0.000 3.269 0.000
K 2.831 1.635 0.000
Ac 0.000 0.000 3.240
Ga 0.000 3.269 3.240
Ga 2.831 1.635 3.240
O -1.102 1.909 2.119
O -1.729 2.995 4.361
O 2.205 0.000 2.119
O 1.102 1.909 4.361
O 3.458 0.000 4.361
O 1.729 2.995 2.119
```